(1)
Simulated powder X-ray diffraction pattern
Compound: MgCd2Te2F2
Radiation: Cu Kα, 1.54184 Å
Structure: a crystal structure in OQMD, relaxed with GGA-PBE

Largest 10 diffraction maxima, sorted by position, 2θ from 10° to 90°:
2θ/deg, intensity, index
18.93, 22, 0 0 2
29.41, 100, 1 0 2
31.74, 54, 1 1 0
36.53, 28, 1 0 3
37.22, 44, 1 1 2
44.86, 27, 1 0 4
45.50, 34, 2 0 0
55.11, 33, 2 1 2
59.71, 13, 2 1 3
65.81, 17, 2 1 4

```
data_MgCd2Te2F2
_chemical_formula_sum 'Mg1 Cd2 Te2 F2'
_space_group_name_H-M_alt 'P -4 m 2'
_space_group_IT_number 115
_cell_length_a 3.987
_cell_length_b 3.987
_cell_length_c 9.375
_cell_angle_alpha 90.00
_cell_angle_beta 90.00
_cell_angle_gamma 90.00
loop_
_space_group_symop_operation_xyz
'x,y,z'
'y,-x,-z'
'-x,-y,z'
'-y,x,-z'
'-x,y,z'
'-y,-x,-z'
'x,-y,z'
'y,x,-z'
loop_
_atom_site_label
_atom_site_type_symbol
_atom_site_fract_x
_atom_site_fract_y
_atom_site_fract_z
Mg1 Mg 0.000 0.000 0.000
Cd1 Cd 0.000 0.500 0.644
Te1 Te 0.000 0.500 0.204
F1 F 0.000 0.000 0.500
F2 F 0.500 0.500 0.500
```

---

(2)
Simulated powder X-ray diffraction pattern
Compound: Na3CdF6
Radiation: Cu Kα, 1.54184 Å
Structure: a crystal structure in OQMD, relaxed with GGA-PBE

Largest 10 diffraction maxima, sorted by position, 2θ from 10° to 90°:
2θ/deg, intensity, index
18.93, 100, 1 0 1
21.32, 40, 0 0 2
22.17, 46, 1 1 0
30.95, 54, 1 1 2
31.55, 69, 2 0 0
37.05, 51, 2 1 1
43.42, 32, 0 0 4
45.23, 34, 2 2 0
54.66, 26, 2 0 4
55.81, 46, 3 1 2

```
data_Na3CdF6
_chemical_formula_sum 'Na6 Cd2 F12'
_space_group_name_H-M_alt 'I 4/m'
_space_group_IT_number 87
_space_group_name_Hall '-I 4'
_cell_length_a 5.671
_cell_length_b 5.671
_cell_length_c 8.336
_cell_angle_alpha 90.00
_cell_angle_beta 90.00
_cell_angle_gamma 90.00
loop_
_atom_site_label
_atom_site_type_symbol
_atom_site_fract_x
_atom_site_fract_y
_atom_site_fract_z
Na1 Na 0.000 0.000 0.000
Na2 Na 0.000 0.500 0.250
Cd1 Cd 0.000 0.000 0.500
F1 F 0.000 0.000 0.249
F2 F 0.152 0.656 0.500
```

---

(3)
Simulated powder X-ray diffraction pattern
Compound: NaCd3F7
Radiation: Cu Kα, 1.54184 Å
Structure: a crystal structure in OQMD, relaxed with GGA-PBE

Largest 10 diffraction maxima, sorted by position, 2θ from 10° to 90°:
2θ/deg, intensity, index
14.54, 30, 1 1 0
28.74, 48, 0 0 2
29.07, 47, 4 0 -2
29.32, 100, 2 2 0
33.52, 33, 2 2 -2
47.59, 23, 4 0 -4
48.42, 39, 2 2 2
48.84, 38, 6 2 -2
57.71, 22, 4 4 -2
58.25, 20, 6 2 0

```
data_NaCd3F7
_chemical_formula_sum 'Na4 Cd12 F28'
_space_group_name_H-M_alt 'C 1 2/c 1'
_space_group_IT_number 15
_cell_length_a 12.910
_cell_length_b 7.482
_cell_length_c 7.644
_cell_angle_alpha 90.00
_cell_angle_beta 125.63
_cell_angle_gamma 90.00
loop_
_space_group_symop_operation_xyz
'x,y,z'
'-x,-y,-z'
'-x,y,-z+1/2'
'x,-y,z+1/2'
'x+1/2,y+1/2,z'
'-x+1/2,-y+1/2,-z'
'-x+1/2,y+1/2,-z+1/2'
'x+1/2,-y+1/2,z+1/2'
loop_
_atom_site_label
_atom_site_type_symbol
_atom_site_fract_x
_atom_site_fract_y
_atom_site_fract_z
Na1 Na 0.000 0.000 0.000
Cd1 Cd 0.000 0.500 0.000
Cd2 Cd 0.250 0.250 0.000
Cd3 Cd 0.250 0.250 0.500
F1 F 0.000 0.381 0.250
F2 F 0.131 0.271 0.117
F3 F 0.131 0.272 0.647
F4 F 0.143 0.007 0.394
```

---

(4)
Simulated powder X-ray diffraction pattern
Compound: RbNbCdF7
Radiation: Cu Kα, 1.54184 Å
Structure: a crystal structure in OQMD, relaxed with GGA-PBE

Largest 10 diffraction maxima, sorted by position, 2θ from 10° to 90°:
2θ/deg, intensity, index
16.59, 36, 0 2 0
21.19, 59, 0 0 2
26.42, 86, 1 1 2
26.59, 87, 2 0 0
27.03, 81, 0 2 2
28.37, 100, 1 3 0
38.28, 50, 2 2 2
43.14, 47, 0 0 4
48.05, 40, 3 3 0
49.78, 54, 1 5 2

```
data_RbNbCdF7
_chemical_formula_sum 'Rb4 Nb4 Cd4 F28'
_space_group_name_H-M_alt 'C m c m'
_space_group_IT_number 63
_space_group_name_Hall '-C 2c 2'
_cell_length_a 6.706
_cell_length_b 10.687
_cell_length_c 8.387
_cell_angle_alpha 90.00
_cell_angle_beta 90.00
_cell_angle_gamma 90.00
loop_
_atom_site_label
_atom_site_type_symbol
_atom_site_fract_x
_atom_site_fract_y
_atom_site_fract_z
Rb1 Rb 0.000 0.000 0.000
Nb1 Nb 0.000 0.305 0.250
Cd1 Cd 0.000 0.304 0.750
F1 F 0.000 0.291 0.010
F2 F 0.000 0.489 0.250
F3 F 0.175 0.146 0.250
F4 F 0.202 0.134 0.750
```

---

(5)
Simulated powder X-ray diffraction pattern
Compound: Cd2PO4F
Radiation: Cu Kα, 1.54184 Å
Structure: a crystal structure in OQMD, relaxed with GGA-PBE

Largest 10 diffraction maxima, sorted by position, 2θ from 10° to 90°:
2θ/deg, intensity, index
23.56, 69, 3 1 -1
26.18, 43, 4 0 -2
28.52, 49, 0 2 1
29.78, 46, 3 1 -3
30.78, 100, 2 0 2
33.50, 25, 0 2 2
34.81, 31, 2 0 -4
41.52, 24, 1 3 -1
42.66, 20, 6 0 -4
53.95, 23, 5 3 -3

```
data_Cd2PO4F
_chemical_formula_sum 'Cd16 P8 O32 F8'
_space_group_name_H-M_alt 'C 1 2/c 1'
_space_group_IT_number 15
_cell_length_a 13.795
_cell_length_b 6.683
_cell_length_c 10.456
_cell_angle_alpha 90.00
_cell_angle_beta 121.34
_cell_angle_gamma 90.00
loop_
_space_group_symop_operation_xyz
'x,y,z'
'-x,-y,-z'
'-x,y,-z+1/2'
'x,-y,z+1/2'
'x+1/2,y+1/2,z'
'-x+1/2,-y+1/2,-z'
'-x+1/2,y+1/2,-z+1/2'
'x+1/2,-y+1/2,z+1/2'
loop_
_atom_site_label
_atom_site_type_symbol
_atom_site_fract_x
_atom_site_fract_y
_atom_site_fract_z
Cd1 Cd 0.047 0.242 0.475
Cd2 Cd 0.159 0.396 0.844
P1 P 0.176 0.083 0.307
O1 O 0.092 0.019 0.144
O2 O 0.128 0.276 0.338
O3 O 0.183 0.078 0.919
O4 O 0.206 0.377 0.671
F1 F 0.017 0.412 0.894
```

---

(6)
Simulated powder X-ray diffraction pattern
Compound: Cd3PO4F3
Radiation: Cu Kα, 1.54184 Å
Structure: a crystal structure in OQMD, relaxed with GGA-PBE

Largest 10 diffraction maxima, sorted by position, 2θ from 10° to 90°:
2θ/deg, intensity, index
22.49, 47, 1 0 1
27.34, 100, 3 0 0
27.54, 36, 0 2 1
31.85, 52, 3 -1 1
39.20, 12, 1 3 1
42.86, 21, 0 1 2
45.54, 36, 3 2 1
48.34, 32, 3 3 0
48.81, 18, 1 2 2
59.37, 16, 5 -3 2

```
data_Cd3PO4F3
_chemical_formula_sum 'Cd9 P3 O12 F9'
_space_group_name_H-M_alt 'R 3'
_space_group_IT_number 146
_space_group_name_Hall 'R 3'
_cell_length_a 11.2981
_cell_length_b 11.2981
_cell_length_c 4.3219
_cell_angle_alpha 90.00
_cell_angle_beta 90.00
_cell_angle_gamma 120.00
loop_
_atom_site_label
_atom_site_type_symbol
_atom_site_fract_x
_atom_site_fract_y
_atom_site_fract_z
Cd1 Cd 0.1038 0.5588 0.0000
P1 P 0.0000 0.0000 0.7504
O1 O 0.0000 0.0000 0.3872
O2 O 0.0418 0.8922 0.8379
F1 F 0.1804 0.4010 0.0420
```

---

(7)
Simulated powder X-ray diffraction pattern
Compound: Cd2PO4F
Radiation: Cu Kα, 1.54184 Å
Structure: a crystal structure in OQMD, relaxed with GGA-PBE

Largest 10 diffraction maxima, sorted by position, 2θ from 10° to 90°:
2θ/deg, intensity, index
23.43, 90, 3 1 -1
26.05, 66, 4 0 -2
28.42, 64, 0 2 1
29.62, 62, 3 1 -3
30.40, 100, 2 0 2
30.63, 28, 2 2 0
33.30, 34, 0 2 2
41.40, 32, 1 3 -1
42.45, 26, 6 0 -4
53.74, 38, 5 3 -3

```
data_Cd2PO4F
_chemical_formula_sum 'Cd16 P8 O32 F8'
_space_group_name_H-M_alt 'C 1 2/c 1'
_space_group_IT_number 15
_cell_length_a 13.876
_cell_length_b 6.699
_cell_length_c 10.536
_cell_angle_alpha 90.00
_cell_angle_beta 120.99
_cell_angle_gamma 90.00
loop_
_space_group_symop_operation_xyz
'x,y,z'
'-x,-y,-z'
'-x,y,-z+1/2'
'x,-y,z+1/2'
'x+1/2,y+1/2,z'
'-x+1/2,-y+1/2,-z'
'-x+1/2,y+1/2,-z+1/2'
'x+1/2,-y+1/2,z+1/2'
loop_
_atom_site_label
_atom_site_type_symbol
_atom_site_fract_x
_atom_site_fract_y
_atom_site_fract_z
Cd1 Cd 0.051 0.240 0.483
Cd2 Cd 0.159 0.400 0.847
P1 P 0.176 0.088 0.306
O1 O 0.090 0.028 0.144
O2 O 0.130 0.274 0.345
O3 O 0.188 0.080 0.914
O4 O 0.210 0.363 0.680
F1 F 0.015 0.416 0.892
```

---

(8)
Simulated powder X-ray diffraction pattern
Compound: Sr2Cd2SeSOF2
Radiation: Cu Kα, 1.54184 Å
Structure: a crystal structure in OQMD, relaxed with GGA-PBE

Largest 10 diffraction maxima, sorted by position, 2θ from 10° to 90°:
2θ/deg, intensity, index
25.39, 28, 1 0 3
30.71, 66, 1 1 2
32.55, 57, 1 0 5
35.47, 100, 1 1 4
41.43, 70, 2 0 0
50.73, 29, 1 1 8
53.65, 26, 2 1 5
60.03, 22, 2 2 0
71.70, 23, 3 1 4
82.35, 24, 1 1 14

```
data_Sr2Cd2SeSOF2
_chemical_formula_sum 'Sr4 Cd4 Se2 S2 O2 F4'
_space_group_name_H-M_alt 'I 4 m m'
_space_group_IT_number 107
_space_group_name_Hall 'I 4 -2'
_cell_length_a 4.359
_cell_length_b 4.359
_cell_length_c 17.732
_cell_angle_alpha 90.00
_cell_angle_beta 90.00
_cell_angle_gamma 90.00
loop_
_atom_site_label
_atom_site_type_symbol
_atom_site_fract_x
_atom_site_fract_y
_atom_site_fract_z
Sr1 Sr 0.000 0.000 0.000
Sr2 Sr 0.000 0.000 0.359
Cd1 Cd 0.000 0.500 0.193
Se1 Se 0.000 0.000 0.584
S1 S 0.000 0.000 0.797
O1 O 0.000 0.000 0.214
F1 F 0.000 0.500 0.437
```